Simulated powder XRD pattern of CdBiBF10 for Cu Kα, from a DFT-relaxed cell (PBE, the Materials Project).
Kinematic intensities with the Lorentz-polarization factor, no thermal factor.

Principal peaks in the range 10 to 80 degrees two-theta, in order of rising 2θ:
2θ 13.86, intensity 29.4; 2θ 18.45, intensity 62.7; 2θ 19.28, intensity 98.3; 2θ 20.81, intensity 51.4; 2θ 24.13, intensity 100.0; 2θ 25.37, intensity 56.1; 2θ 26.80, intensity 59.5; 2θ 29.76, intensity 35.6; 2θ 35.94, intensity 27.8; 2θ 50.13, intensity 24.7

Cell and atoms:
a = 8.574 Å, b = 9.620 Å, c = 9.235 Å
α = 90.00°, β = 94.29°, γ = 90.00°
Atoms (fractional coordinates):
Cd: 0.174 0.021 0.284
Cd: 0.174 0.479 0.784
Cd: 0.826 0.521 0.216
Cd: 0.826 0.979 0.716
Bi: 0.336 0.066 0.737
Bi: 0.336 0.434 0.237
Bi: 0.664 0.566 0.763
Bi: 0.664 0.934 0.263
B: 0.059 0.731 0.504
B: 0.059 0.769 0.004
B: 0.941 0.231 0.996
B: 0.941 0.269 0.496
F: 0.030 0.149 0.099
F: 0.030 0.351 0.599
F: 0.042 0.191 0.413
F: 0.042 0.309 0.913
F: 0.093 0.056 0.721
F: 0.093 0.444 0.221
F: 0.152 0.642 0.597
F: 0.152 0.858 0.097
F: 0.158 0.678 0.933
F: 0.158 0.822 0.433
F: 0.321 0.219 0.235
F: 0.321 0.281 0.735
F: 0.323 0.072 0.513
F: 0.323 0.428 0.013
F: 0.343 0.642 0.237
F: 0.343 0.858 0.737
F: 0.345 0.078 0.955
F: 0.345 0.422 0.455
F: 0.423 0.571 0.763
F: 0.423 0.929 0.263
F: 0.577 0.071 0.737
F: 0.577 0.429 0.237
F: 0.655 0.578 0.545
F: 0.655 0.922 0.045
F: 0.657 0.142 0.263
F: 0.657 0.358 0.763
F: 0.677 0.572 0.987
F: 0.677 0.928 0.487
F: 0.679 0.719 0.265
F: 0.679 0.781 0.765
F: 0.842 0.178 0.567
F: 0.842 0.322 0.067
F: 0.848 0.142 0.903
F: 0.848 0.358 0.403
F: 0.907 0.556 0.779
F: 0.907 0.944 0.279
F: 0.958 0.691 0.087
F: 0.958 0.809 0.587
F: 0.970 0.649 0.401
F: 0.970 0.851 0.901



Simulated powder XRD pattern of Cu2OF2 for Cu Kα, from a DFT-relaxed cell (PBE, the Materials Project).
Kinematic intensities with the Lorentz-polarization factor, no thermal factor.

Principal peaks in the range 10 to 80 degrees two-theta, in order of rising 2θ:
2θ 18.39, intensity 34.0; 2θ 18.61, intensity 100.0; 2θ 31.24, intensity 8.2; 2θ 32.84, intensity 8.0; 2θ 33.07, intensity 8.3; 2θ 37.28, intensity 16.6; 2θ 37.72, intensity 48.1; 2θ 42.02, intensity 8.6; 2θ 53.14, intensity 10.4; 2θ 53.82, intensity 9.9

Cell and atoms:
a = 5.703 Å, b = 5.752 Å, c = 6.048 Å
α = 108.24°, β = 108.90°, γ = 108.68°
Atoms (fractional coordinates):
Cu: 0.000 0.000 0.000
Cu: 0.000 0.001 0.500
Cu: 0.500 0.000 0.000
Cu: 0.999 0.500 0.500
O: 0.122 0.870 0.748
O: 0.879 0.132 0.252
F: 0.131 0.382 0.760
F: 0.379 0.126 0.264
F: 0.620 0.871 0.736
F: 0.866 0.618 0.240



Simulated powder XRD pattern of Ca2AlSi2O7 for Cu Kα, from a DFT-relaxed cell (PBE, the Materials Project).
Kinematic intensities with the Lorentz-polarization factor, no thermal factor.

Principal peaks in the range 10 to 80 degrees two-theta, in order of rising 2θ:
2θ 23.81, intensity 14.0; 2θ 28.87, intensity 21.7; 2θ 31.12, intensity 100.0; 2θ 36.49, intensity 16.2; 2θ 37.15, intensity 16.8; 2θ 38.96, intensity 12.9; 2θ 49.67, intensity 10.4; 2θ 51.65, intensity 34.0; 2θ 60.73, intensity 10.9; 2θ 67.31, intensity 13.1

Cell and atoms:
a = 7.787 Å, b = 7.787 Å, c = 5.089 Å
α = 90.00°, β = 90.00°, γ = 90.00°
Atoms (fractional coordinates):
Ca: 0.164 0.336 0.014
Ca: 0.336 0.836 0.986
Ca: 0.664 0.164 0.986
Ca: 0.836 0.664 0.014
Al: 0.000 0.000 0.500
Al: 0.500 0.500 0.500
Si: 0.142 0.642 0.538
Si: 0.358 0.142 0.462
Si: 0.642 0.858 0.462
Si: 0.858 0.358 0.538
O: 0.000 0.500 0.673
O: 0.083 0.824 0.692
O: 0.136 0.636 0.219
O: 0.176 0.083 0.308
O: 0.324 0.583 0.692
O: 0.364 0.136 0.781
O: 0.417 0.324 0.308
O: 0.500 0.000 0.327
O: 0.583 0.676 0.308
O: 0.636 0.864 0.781
O: 0.676 0.417 0.692
O: 0.824 0.917 0.308
O: 0.864 0.364 0.219
O: 0.917 0.176 0.692



Simulated powder XRD pattern of BaSrTbHfO6 for Cu Kα, from a DFT-relaxed cell (PBE, the Materials Project).
Kinematic intensities with the Lorentz-polarization factor, no thermal factor.

Principal peaks in the range 10 to 80 degrees two-theta, in order of rising 2θ:
2θ 17.78, intensity 2.0; 2θ 20.56, intensity 9.8; 2θ 29.24, intensity 100.0; 2θ 41.83, intensity 29.5; 2θ 47.04, intensity 4.3; 2θ 51.85, intensity 41.4; 2θ 60.64, intensity 18.7; 2θ 64.74, intensity 1.9; 2θ 68.72, intensity 18.3; 2θ 76.38, intensity 6.2

Cell and atoms:
a = 6.109 Å, b = 6.109 Å, c = 6.109 Å
α = 60.00°, β = 60.00°, γ = 60.00°
Atoms (fractional coordinates):
Ba: 0.000 0.000 0.000
Sr: 0.500 0.500 0.500
Tb: 0.250 0.250 0.250
Hf: 0.750 0.750 0.750
O: 0.510 0.510 0.990
O: 0.510 0.990 0.510
O: 0.510 0.990 0.990
O: 0.990 0.510 0.510
O: 0.990 0.510 0.990
O: 0.990 0.990 0.510



Simulated powder XRD pattern of La2Si3Ni for Cu Kα, from a DFT-relaxed cell (PBE, the Materials Project).
Kinematic intensities with the Lorentz-polarization factor, no thermal factor.

Principal peaks in the range 10 to 80 degrees two-theta, in order of rising 2θ:
2θ 20.54, intensity 5.6; 2θ 25.04, intensity 31.8; 2θ 32.61, intensity 100.0; 2θ 41.79, intensity 11.8; 2θ 44.11, intensity 31.7; 2θ 49.34, intensity 9.6; 2θ 55.92, intensity 21.0; 2θ 62.38, intensity 21.2; 2θ 70.51, intensity 9.4; 2θ 73.84, intensity 18.2

Cell and atoms:
a = 4.106 Å, b = 4.106 Å, c = 8.646 Å
α = 90.00°, β = 90.00°, γ = 120.00°
Atoms (fractional coordinates):
La: 0.000 0.000 0.240
La: 0.000 0.000 0.760
Si: 0.333 0.667 0.000
Si: 0.333 0.667 0.500
Si: 0.667 0.333 0.500
Ni: 0.667 0.333 0.000



Simulated powder XRD pattern of NaCeAu2 for Cu Kα, from a DFT-relaxed cell (PBE, the Materials Project).
Kinematic intensities with the Lorentz-polarization factor, no thermal factor.

Principal peaks in the range 10 to 80 degrees two-theta, in order of rising 2θ:
2θ 21.33, intensity 9.9; 2θ 24.67, intensity 20.6; 2θ 35.17, intensity 100.0; 2θ 41.50, intensity 5.3; 2θ 43.44, intensity 6.6; 2θ 50.59, intensity 17.9; 2θ 57.07, intensity 9.0; 2θ 63.11, intensity 37.0; 2θ 74.35, intensity 11.5; 2θ 79.72, intensity 4.6

Cell and atoms:
a = 7.217 Å, b = 7.217 Å, c = 7.217 Å
α = 90.00°, β = 90.00°, γ = 90.00°
Atoms (fractional coordinates):
Na: 0.000 0.000 0.000
Na: 0.000 0.500 0.500
Na: 0.500 0.000 0.500
Na: 0.500 0.500 0.000
Ce: 0.000 0.000 0.500
Ce: 0.000 0.500 0.000
Ce: 0.500 0.000 0.000
Ce: 0.500 0.500 0.500
Au: 0.250 0.250 0.250
Au: 0.250 0.250 0.750
Au: 0.250 0.750 0.250
Au: 0.250 0.750 0.750
Au: 0.750 0.250 0.250
Au: 0.750 0.250 0.750
Au: 0.750 0.750 0.250
Au: 0.750 0.750 0.750